This entry pairs a crystal structure of PrScZnNi2 with its calculated powder X-ray diffraction pattern. Radiation: Cu Ka. Structure: a cell relaxed with GGA-PBE.
Neutral-atom scattering factors, no anomalous dispersion.

Principal peaks in the range 2θ = 5–70°, by angle:
2θ = 20.1°, I = 28
2θ = 23.8°, I = 19
2θ = 26.9°, I = 17
2θ = 35.2°, I = 100
2θ = 37.9°, I = 30
2θ = 40.0°, I = 26
2θ = 40.9°, I = 25
2θ = 41.7°, I = 74
2θ = 42.7°, I = 36
2θ = 58.3°, I = 16

Atomic structure:
```
data_PrScZnNi2
_chemical_formula_sum 'Pr1 Sc1 Zn1 Ni2'
_cell_length_a 5.2364
_cell_length_b 5.2364
_cell_length_c 5.2364
_cell_angle_alpha 132.24
_cell_angle_beta 119.10
_cell_angle_gamma 80.88
_space_group_name_H-M_alt 'P 1'
_space_group_IT_number 1
loop_
_space_group_symop_operation_xyz
'x,y,z'
loop_
_atom_site_label
_atom_site_type_symbol
_atom_site_fract_x
_atom_site_fract_y
_atom_site_fract_z
_atom_site_occupancy
Pr1 Pr 0.0000 0.0000 0.0000 1
Sc1 Sc 0.4070 0.4070 0.0000 1
Zn1 Zn 0.7026 0.2026 0.5000 1
Ni1 Ni 0.4349 0.7025 0.7323 1
Ni2 Ni 0.9702 0.7025 0.2677 1
```